# Sr2PaMoO8
Simulated X-ray diffraction stick pattern, CuKα. Input: a structure optimized by DFT (PBE+U).
Neutral-atom scattering factors, no anomalous dispersion.

Largest 6 diffraction maxima, most intense first, 10 to 80 degrees two-theta:
- 2θ = 31.0°, I 100.0
- 2θ = 23.1°, I 69.7
- 2θ = 24.0°, I 55.9
- 2θ = 45.8°, I 48.1
- 2θ = 46.8°, I 35.1
- 2θ = 16.6°, I 32.2

Crystal structure
```
Sr2PaMoO8
1.0
3.7085 -3.8483 0.0000
3.7085 3.8483 0.0000
0.0000 0.0000 6.8677
Sr Pa Mo O
2 1 1 8
Cartesian
0.0000 0.0000 1.6556
0.0000 0.0000 5.2120
3.7085 0.0000 3.4338
3.7085 0.0000 0.0000
1.7017 0.0000 3.4338
1.8233 0.0000 0.0000
3.7085 1.2992 1.5150
3.7085 1.2992 5.3527
3.7085 -1.2992 1.5150
3.7085 -1.2992 5.3527
5.5937 0.0000 0.0000
5.7152 0.0000 3.4338
```